Record 1
# HoTmIn4
Computed X-ray powder pattern, Cu Kα X-rays. Input: a crystal structure in Alexandria, relaxed with PBE.
No peak broadening, texture or thermal motion is included.

Most intense lines, 15° ≤ 2θ ≤ 90°, sorted by position:
| 2theta | I/Imax | (hkl) |
| --- | --- | --- |
| 33.0 | 100 | 2 0 2 |
| 35.9 | 81 | 3 1 0 |
| 49.6 | 32 | 4 0 -2 |
| 62.7 | 31 | 4 2 -2 |
| 64.6 | 14 | 6 0 0 |
| 65.3 | 25 | 3 1 4 |

Structural model:
Lattice parameters (Å, degrees): 8.6656 4.9958 6.9634 90.00 90.00 90.00
Fractional coordinates of all 12 atoms:
Ho  0.0000  0.0000  0.0000
Ho  0.5000  0.5000  0.0000
Tm  0.0001  0.0000  0.5000
Tm  0.5001  0.5000  0.5000
In  0.1666  0.5000  0.2398
In  0.1666  0.5000  0.7615
In  0.3333  0.0000  0.2665
In  0.3334  0.0000  0.7320
In  0.6666  0.0000  0.2398
In  0.6666  0.0000  0.7615
In  0.8333  0.5000  0.2665
In  0.8334  0.5000  0.7320

***

Record 2
# Ru3Se
Computed X-ray powder pattern, Cu Kα X-rays. Input: a crystal structure in Alexandria, relaxed with PBE.
No peak broadening, texture or thermal motion is included.

Most intense lines, 15° ≤ 2θ ≤ 90°, sorted by position:
| 2theta | I/Imax | (hkl) |
| --- | --- | --- |
| 40.3 | 100 | 1 1 4 |
| 46.1 | 15 | 0 0 8 |
| 47.2 | 32 | 2 0 0 |
| 68.1 | 19 | 2 0 8 |
| 69.0 | 10 | 2 2 0 |
| 83.0 | 24 | 3 1 4 |

Structural model:
Lattice parameters (Å, degrees): 3.8516 3.8516 15.7625 90.00 90.00 90.00
Fractional coordinates of all 16 atoms:
Ru  0.0000  0.0000  0.1324
Ru  0.0000  0.0000  0.8676
Ru  0.0000  0.5000  0.0000
Ru  0.0000  0.5000  0.2500
Ru  0.0000  0.5000  0.5000
Ru  0.0000  0.5000  0.7500
Ru  0.5000  0.0000  0.0000
Ru  0.5000  0.0000  0.2500
Ru  0.5000  0.0000  0.5000
Ru  0.5000  0.0000  0.7500
Ru  0.5000  0.5000  0.3676
Ru  0.5000  0.5000  0.6324
Se  0.0000  0.0000  0.3883
Se  0.0000  0.0000  0.6117
Se  0.5000  0.5000  0.1117
Se  0.5000  0.5000  0.8883